Record 1
Diffraction record for Ba14Na21CaN6. The PXRD pattern is calculated, not measured: it uses a PBE-relaxed structure and λ = 1.5418 Å (Cu Kα).

Atomic structure:
Unit cell a=21.415 b=12.592 c=16.264 alpha=90.00 beta=129.52 gamma=90.00
Space group C2/m (No. 12)
Symmetry-distinct sites (fractional):
Ba1 0.008 0.213 0.227 (multiplicity 8)
Ba2 0.102 0.500 0.911 (multiplicity 4)
Ba3 0.117 0.287 0.094 (multiplicity 8)
Ba4 0.128 0.500 0.267 (multiplicity 4)
Ba5 0.192 0.000 0.768 (multiplicity 4)
Na1 0.000 0.000 0.000 (multiplicity 2)
Na2 0.000 0.180 0.500 (multiplicity 4)
Na3 0.054 0.500 0.450 (multiplicity 4)
Na4 0.131 0.000 0.468 (multiplicity 4)
Na5 0.148 0.351 0.720 (multiplicity 8)
Na6 0.176 0.000 0.022 (multiplicity 4)
Na7 0.194 0.000 0.289 (multiplicity 4)
Na8 0.202 0.269 0.556 (multiplicity 8)
Na9 0.250 0.250 0.000 (multiplicity 4)
Ca1 0.000 0.500 0.000 (multiplicity 2)
N1 0.007 0.356 0.118 (multiplicity 8)
N2 0.156 0.500 0.121 (multiplicity 4)

The 10 most intense peaks (2θ from 10° to 90°), in order of falling intensity:
| 2θ/deg | I/Imax |
| --- | --- |
| 26.72 | 100.0 |
| 28.76 | 58.9 |
| 28.36 | 41.5 |
| 26.32 | 39.2 |
| 27.44 | 37.3 |
| 24.14 | 26.6 |
| 25.78 | 24.7 |
| 24.92 | 23.3 |
| 21.82 | 22.1 |
| 26.99 | 21.3 |

Record 2
Diffraction record for Ba14Na17CaN6. The PXRD pattern is calculated, not measured: it uses a PBE-relaxed structure and λ = 1.5418 Å (Cu Kα).

Atomic structure:
Unit cell a=11.174 b=12.044 c=13.727 alpha=66.69 beta=67.61 gamma=78.80
Space group P-1 (No. 2)
Symmetry-distinct sites (fractional):
Ba1 0.024 0.211 0.381 (multiplicity 2)
Ba2 0.115 0.431 0.766 (multiplicity 2)
Ba3 0.131 0.221 0.054 (multiplicity 2)
Ba4 0.158 0.838 0.043 (multiplicity 2)
Ba5 0.224 0.691 0.803 (multiplicity 2)
Ba6 0.237 0.479 0.094 (multiplicity 2)
Ba7 0.470 0.382 0.822 (multiplicity 2)
Na1 0.087 0.086 0.687 (multiplicity 2)
Na2 0.131 0.599 0.395 (multiplicity 2)
Na3 0.263 0.904 0.291 (multiplicity 2)
Na4 0.331 0.311 0.444 (multiplicity 2)
Na5 0.352 0.972 0.492 (multiplicity 2)
Na6 0.364 0.107 0.746 (multiplicity 2)
Na7 0.405 0.645 0.484 (multiplicity 2)
Na8 0.460 0.184 0.189 (multiplicity 2)
Na9 0.500 0.000 0.000 (multiplicity 1)
Ca1 0.000 0.500 0.000 (multiplicity 1)
N1 0.012 0.358 0.193 (multiplicity 2)
N2 0.074 0.673 0.024 (multiplicity 2)
N3 0.237 0.441 0.907 (multiplicity 2)

The 10 most intense peaks (2θ from 10° to 90°), in order of falling intensity:
| 2θ/deg | I/Imax |
| --- | --- |
| 27.18 | 100.0 |
| 26.72 | 61.3 |
| 27.00 | 57.0 |
| 28.42 | 51.7 |
| 26.47 | 43.3 |
| 27.80 | 34.7 |
| 10.03 | 30.2 |
| 26.10 | 29.2 |
| 25.29 | 28.7 |
| 32.87 | 26.2 |

Record 3
Diffraction record for Ba14Na14CaN6. The PXRD pattern is calculated, not measured: it uses a PBE-relaxed structure and λ = 1.5418 Å (Cu Kα).

Atomic structure:
Unit cell a=17.869 b=17.869 c=17.869 alpha=90.00 beta=90.00 gamma=90.00
Space group Fm-3m (No. 225)
Symmetry-distinct sites (fractional):
Ba1 0.000 0.000 0.214 (multiplicity 24)
Ba2 0.107 0.107 0.393 (multiplicity 32)
Na1 0.000 0.250 0.250 (multiplicity 24)
Na2 0.171 0.171 0.171 (multiplicity 32)
Ca1 0.000 0.000 0.500 (multiplicity 4)
N1 0.000 0.000 0.355 (multiplicity 24)

The 10 most intense peaks (2θ from 10° to 90°), in order of falling intensity:
| 2θ/deg | I/Imax |
| --- | --- |
| 28.25 | 100.0 |
| 25.91 | 91.9 |
| 53.01 | 45.2 |
| 36.25 | 31.1 |
| 38.71 | 27.5 |
| 17.19 | 25.6 |
| 43.88 | 21.7 |
| 24.40 | 19.9 |
| 21.68 | 16.4 |
| 72.31 | 15.8 |

Record 4
Diffraction record for Ba3Ca2Si2N6. The PXRD pattern is calculated, not measured: it uses a PBE-relaxed structure and λ = 1.5418 Å (Cu Kα).

Atomic structure:
Unit cell a=10.149 b=6.884 c=13.441 alpha=90.00 beta=101.89 gamma=90.00
Space group C2/c (No. 15)
Symmetry-distinct sites (fractional):
Ba1 0.000 0.097 0.250 (multiplicity 4)
Ba2 0.059 0.238 0.993 (multiplicity 8)
Ca1 0.151 0.439 0.719 (multiplicity 8)
Si1 0.221 0.351 0.420 (multiplicity 8)
N1 0.063 0.454 0.370 (multiplicity 8)
N2 0.168 0.102 0.661 (multiplicity 8)
N3 0.213 0.091 0.446 (multiplicity 8)

The 10 most intense peaks (2θ from 10° to 90°), in order of falling intensity:
| 2θ/deg | I/Imax |
| --- | --- |
| 29.29 | 100.0 |
| 33.02 | 94.5 |
| 31.97 | 75.5 |
| 17.85 | 62.3 |
| 27.12 | 61.9 |
| 35.72 | 42.2 |
| 24.18 | 40.6 |
| 33.11 | 40.3 |
| 47.92 | 31.6 |
| 49.28 | 28.9 |

Record 5
Diffraction record for Ba2CaWN4. The PXRD pattern is calculated, not measured: it uses a PBE-relaxed structure and λ = 1.5418 Å (Cu Kα).

Atomic structure:
Unit cell a=10.954 b=12.108 c=18.079 alpha=90.00 beta=90.00 gamma=90.00
Space group Fddd (No. 70, origin choice 2)
Symmetry-distinct sites (fractional):
Ba1 0.055 0.375 0.375 (multiplicity 16)
Ba2 0.125 0.125 0.514 (multiplicity 16)
Ca1 0.125 0.125 0.287 (multiplicity 16)
W1 0.125 0.368 0.625 (multiplicity 16)
N1 0.015 0.026 0.383 (multiplicity 32)
N2 0.116 0.292 0.210 (multiplicity 32)

The 10 most intense peaks (2θ from 10° to 90°), in order of falling intensity:
| 2θ/deg | I/Imax |
| --- | --- |
| 29.55 | 100.0 |
| 52.39 | 16.8 |
| 25.96 | 11.2 |
| 34.29 | 10.5 |
| 37.39 | 9.7 |
| 32.70 | 9.7 |
| 19.64 | 9.5 |
| 44.62 | 9.2 |
| 39.89 | 8.8 |
| 33.46 | 8.5 |

Record 6
Diffraction record for Ba4Na2CaTi3Si4S2O26. The PXRD pattern is calculated, not measured: it uses a PBE-relaxed structure and λ = 1.5418 Å (Cu Kα).

Atomic structure:
Unit cell a=5.497 b=7.210 c=15.003 alpha=81.17 beta=85.24 gamma=89.98
Space group P1 (No. 1)
Symmetry-distinct sites (fractional):
Ba1 0.000 0.000 0.000 (multiplicity 1)
Ba2 0.066 0.288 0.687 (multiplicity 1)
Ba3 0.480 0.463 0.088 (multiplicity 1)
Ba4 0.550 0.751 0.775 (multiplicity 1)
Na1 0.274 0.142 0.388 (multiplicity 1)
Na2 0.773 0.879 0.388 (multiplicity 1)
Ca1 0.272 0.600 0.387 (multiplicity 1)
Ti1 0.091 0.813 0.589 (multiplicity 1)
Ti2 0.456 0.937 0.186 (multiplicity 1)
Ti3 0.772 0.362 0.388 (multiplicity 1)
Si1 0.595 0.099 0.578 (multiplicity 1)
Si2 0.595 0.534 0.577 (multiplicity 1)
Si3 0.951 0.217 0.199 (multiplicity 1)
Si4 0.951 0.653 0.196 (multiplicity 1)
S1 0.021 0.576 0.911 (multiplicity 1)
S2 0.532 0.174 0.863 (multiplicity 1)
O1 0.014 0.376 0.950 (multiplicity 1)
O2 0.030 0.363 0.460 (multiplicity 1)
O3 0.044 0.605 0.809 (multiplicity 1)
O4 0.114 0.845 0.475 (multiplicity 1)
O5 0.207 0.136 0.154 (multiplicity 1)
O6 0.209 0.761 0.150 (multiplicity 1)
O7 0.235 0.671 0.942 (multiplicity 1)
O8 0.317 0.081 0.832 (multiplicity 1)
O9 0.338 0.614 0.623 (multiplicity 1)
O10 0.339 0.990 0.624 (multiplicity 1)
O11 0.434 0.895 0.300 (multiplicity 1)
O12 0.508 0.148 0.965 (multiplicity 1)
O13 0.515 0.407 0.316 (multiplicity 1)
O14 0.546 0.374 0.823 (multiplicity 1)
O15 0.582 0.304 0.619 (multiplicity 1)
O16 0.609 0.568 0.468 (multiplicity 1)
O17 0.613 0.134 0.469 (multiplicity 1)
O18 0.719 0.136 0.153 (multiplicity 1)
O19 0.719 0.762 0.148 (multiplicity 1)
O20 0.759 0.077 0.833 (multiplicity 1)
O21 0.792 0.670 0.942 (multiplicity 1)
O22 0.826 0.616 0.624 (multiplicity 1)
O23 0.829 0.991 0.624 (multiplicity 1)
O24 0.933 0.184 0.308 (multiplicity 1)
O25 0.937 0.620 0.305 (multiplicity 1)
O26 0.964 0.447 0.156 (multiplicity 1)

The 10 most intense peaks (2θ from 10° to 90°), in order of falling intensity:
| 2θ/deg | I/Imax |
| --- | --- |
| 32.73 | 100.0 |
| 25.35 | 88.4 |
| 31.23 | 85.0 |
| 41.65 | 73.8 |
| 25.51 | 69.4 |
| 26.05 | 68.9 |
| 31.75 | 62.5 |
| 23.95 | 60.0 |
| 21.03 | 55.0 |
| 29.21 | 47.3 |

Record 7
Diffraction record for Ba8Ca3Nb5O24. The PXRD pattern is calculated, not measured: it uses a PBE-relaxed structure and λ = 1.5418 Å (Cu Kα).

Atomic structure:
Unit cell a=8.493 b=8.493 c=17.241 alpha=90.00 beta=90.00 gamma=90.00
Space group I4/mmm (No. 139)
Symmetry-distinct sites (fractional):
Ba1 0.246 0.246 0.125 (multiplicity 16)
Ca1 0.000 0.000 0.500 (multiplicity 2)
Ca2 0.000 0.500 0.250 (multiplicity 4)
Nb1 0.000 0.000 0.000 (multiplicity 2)
Nb2 0.000 0.000 0.255 (multiplicity 4)
Nb3 0.000 0.500 0.000 (multiplicity 4)
O1 0.000 0.000 0.115 (multiplicity 4)
O2 0.000 0.000 0.366 (multiplicity 4)
O3 0.000 0.232 0.242 (multiplicity 16)
O4 0.000 0.245 0.000 (multiplicity 8)
O5 0.000 0.268 0.500 (multiplicity 8)
O6 0.000 0.500 0.115 (multiplicity 8)

The 10 most intense peaks (2θ from 10° to 90°), in order of falling intensity:
| 2θ/deg | I/Imax |
| --- | --- |
| 29.53 | 100.0 |
| 29.75 | 49.0 |
| 52.67 | 38.8 |
| 42.58 | 31.8 |
| 52.25 | 19.9 |
| 61.29 | 19.5 |
| 36.47 | 16.8 |
| 41.92 | 16.4 |
| 84.57 | 10.4 |
| 85.13 | 10.3 |

Record 8
Diffraction record for Ba2CaNbO6. The PXRD pattern is calculated, not measured: it uses a PBE-relaxed structure and λ = 1.5418 Å (Cu Kα).

Atomic structure:
Unit cell a=8.619 b=8.619 c=8.619 alpha=90.00 beta=90.00 gamma=90.00
Space group Fm-3m (No. 225)
Symmetry-distinct sites (fractional):
Ba1 0.250 0.250 0.250 (multiplicity 8)
Ca1 0.000 0.000 0.000 (multiplicity 4)
Nb1 0.000 0.000 0.500 (multiplicity 4)
O1 0.000 0.000 0.266 (multiplicity 24)

The 10 most intense peaks (2θ from 10° to 90°), in order of falling intensity:
| 2θ/deg | I/Imax |
| --- | --- |
| 29.31 | 100.0 |
| 51.97 | 39.7 |
| 41.93 | 33.3 |
| 84.03 | 21.0 |
| 60.79 | 20.3 |
| 68.90 | 17.8 |
| 36.10 | 13.9 |
| 17.82 | 6.8 |
| 76.58 | 6.6 |
| 20.61 | 6.2 |

Record 9
Diffraction record for BaCaTbNbO6. The PXRD pattern is calculated, not measured: it uses a PBE-relaxed structure and λ = 1.5418 Å (Cu Kα).

Atomic structure:
Unit cell a=8.491 b=8.491 c=8.491 alpha=90.00 beta=90.00 gamma=90.00
Space group F-43m (No. 216)
Symmetry-distinct sites (fractional):
Ba1 0.000 0.000 0.000 (multiplicity 4)
Ca1 0.000 0.000 0.500 (multiplicity 4)
Tb1 0.250 0.250 0.250 (multiplicity 4)
Nb1 0.250 0.250 0.750 (multiplicity 4)
O1 0.013 0.250 0.750 (multiplicity 24)

The 10 most intense peaks (2θ from 10° to 90°), in order of falling intensity:
| 2θ/deg | I/Imax |
| --- | --- |
| 29.76 | 100.0 |
| 52.82 | 40.0 |
| 42.59 | 32.4 |
| 85.59 | 21.0 |
| 61.81 | 19.8 |
| 70.09 | 17.6 |
| 18.09 | 14.6 |
| 20.92 | 10.3 |
| 35.05 | 10.1 |
| 77.95 | 6.5 |